The following is a theoretical X-ray diffraction stick pattern of Ta2Mn4O9. It was derived from the GGA+U geometry in Alexandria, using Cu Ka.
Intensities are scaled so that the largest is 100.

Peak list (10 most intense, 15 to 90 degrees two-theta, low angle first)
d [Å]	I_rel
4.749	13.3
3.920	71.1
2.846	100.0
2.708	56.7
2.695	27.7
1.964	14.2
1.958	27.1
1.792	26.8
1.674	13.4
1.558	17.1

Structure:
Cell lengths 5.704, 5.704, 13.412 Å; angles 92.44, 92.44, 56.39 degrees
Fractional positions:
Ta1 0.007 0.993 0.500
Ta2 0.647 0.679 0.825
Ta3 0.679 0.647 0.325
Ta4 0.993 0.007 0.000
Mn1 0.278 0.303 0.928
Mn2 0.303 0.278 0.428
Mn3 0.318 0.328 0.666
Mn4 0.328 0.318 0.166
Mn5 0.616 0.617 0.091
Mn6 0.617 0.616 0.591
Mn7 0.934 0.963 0.758
Mn8 0.963 0.934 0.258
O1 0.048 0.302 0.059
O2 0.082 0.494 0.297
O3 0.151 0.774 0.115
O4 0.228 0.604 0.533
O5 0.276 0.892 0.369
O6 0.302 0.048 0.559
O7 0.379 0.658 0.743
O8 0.418 0.815 0.950
O9 0.494 0.082 0.797
O10 0.594 0.891 0.209
O11 0.604 0.228 0.033
O12 0.658 0.379 0.243
O13 0.740 0.966 0.407
O14 0.774 0.151 0.615
O15 0.815 0.418 0.450
O16 0.891 0.594 0.709
O17 0.892 0.276 0.869
O18 0.966 0.740 0.907